1.
Computed powder X-ray diffraction pattern of CsLa2CuTeS3 for Cu Kα, from DFT lattice parameters and positions (GGA-PBE).
Lines closer than 0.1° are merged.

Principal peaks in the range 2θ = 10–90°, by intensity:
d/Å, two_theta, I (rel.)
3.003, 29.75, 100
4.056, 21.91, 51
3.222, 27.69, 46
2.171, 41.59, 42
2.216, 40.71, 37
2.365, 38.05, 32
3.306, 26.97, 32
2.723, 32.89, 29

```
data_CsLa2CuTeS3
_chemical_formula_sum 'Cs4 La8 Cu4 Te4 S12'
_symmetry_space_group_name_H-M 'C m c m'
_symmetry_Int_Tables_number 63
_symmetry_space_group_name_Hall '-C 2c 2'
_cell_length_a 4.3457
_cell_length_b 15.2844
_cell_length_c 14.3578
_cell_angle_alpha 90.00
_cell_angle_beta 90.00
_cell_angle_gamma 90.00
loop_
_atom_site_label
_atom_site_fract_x
_atom_site_fract_y
_atom_site_fract_z
_atom_site_occupancy
Cs1 0.0000 0.0997 0.2500 1
La1 0.0000 0.3534 0.0654 1
Cu1 0.0000 0.1713 0.7500 1
Te1 0.0000 0.0000 0.0000 1
S1 0.0000 0.2574 0.6125 1
S2 0.0000 0.4088 0.2500 1
```


2.
Computed powder X-ray diffraction pattern of CsLa2CuTe3Se for Cu Kα, from DFT lattice parameters and positions (GGA-PBE).
Lines closer than 0.1° are merged.

Principal peaks in the range 2θ = 10–90°, by intensity:
d/Å, two_theta, I (rel.)
3.367, 26.47, 100
3.152, 28.31, 67
2.330, 38.64, 61
3.490, 25.52, 56
2.265, 39.80, 40
2.896, 30.87, 36
3.449, 25.83, 32
2.528, 35.51, 30

```
data_CsLa2CuTe3Se
_chemical_formula_sum 'Cs4 La8 Cu4 Te12 Se4'
_symmetry_space_group_name_H-M 'C m c m'
_symmetry_Int_Tables_number 63
_symmetry_space_group_name_Hall '-C 2c 2'
_cell_length_a 4.5292
_cell_length_b 15.9685
_cell_length_c 15.5212
_cell_angle_alpha 90.00
_cell_angle_beta 90.00
_cell_angle_gamma 90.00
loop_
_atom_site_label
_atom_site_fract_x
_atom_site_fract_y
_atom_site_fract_z
_atom_site_occupancy
Cs1 0.0000 0.0930 0.2500 1
La1 0.0000 0.3649 0.0684 1
Cu1 0.0000 0.1618 0.7500 1
Te1 0.0000 0.0000 0.0000 1
Te2 0.0000 0.2657 0.6163 1
Se1 0.0000 0.4174 0.2500 1
```


3.
Computed powder X-ray diffraction pattern of CsLa2CuTeSe3 for Cu Kα, from DFT lattice parameters and positions (GGA-PBE).
Lines closer than 0.1° are merged.

Principal peaks in the range 2θ = 10–90°, by intensity:
d/Å, two_theta, I (rel.)
3.073, 29.06, 100
3.289, 27.11, 88
3.368, 26.46, 70
2.269, 39.73, 56
2.217, 40.69, 41
4.193, 21.19, 33
2.445, 36.75, 31
2.808, 31.87, 21

```
data_CsLa2CuTeSe3
_chemical_formula_sum 'Cs4 La8 Cu4 Te4 Se12'
_symmetry_space_group_name_H-M 'C m c m'
_symmetry_Int_Tables_number 63
_symmetry_space_group_name_Hall '-C 2c 2'
_cell_length_a 4.4343
_cell_length_b 15.5784
_cell_length_c 14.9241
_cell_angle_alpha 90.00
_cell_angle_beta 90.00
_cell_angle_gamma 90.00
loop_
_atom_site_label
_atom_site_fract_x
_atom_site_fract_y
_atom_site_fract_z
_atom_site_occupancy
Cs1 0.0000 0.1011 0.2500 1
La1 0.0000 0.3573 0.0641 1
Cu1 0.0000 0.1666 0.7500 1
Te1 0.0000 0.0000 0.0000 1
Se1 0.0000 0.2602 0.6133 1
Se2 0.0000 0.4163 0.2500 1
```


4.
Computed powder X-ray diffraction pattern of CsLu2CuSe3S for Cu Kα, from DFT lattice parameters and positions (GGA-PBE).
Lines closer than 0.1° are merged.

Principal peaks in the range 2θ = 10–90°, by intensity:
d/Å, two_theta, I (rel.)
2.840, 31.51, 100
3.945, 22.54, 94
3.028, 29.50, 89
2.102, 43.03, 71
2.032, 44.59, 43
3.423, 26.03, 37
2.360, 38.14, 32
3.100, 28.80, 31

```
data_CsLu2CuSe3S
_chemical_formula_sum 'Cs4 Lu8 Cu4 Se12 S4'
_symmetry_space_group_name_H-M 'C m c m'
_symmetry_Int_Tables_number 63
_symmetry_space_group_name_Hall '-C 2c 2'
_cell_length_a 4.0645
_cell_length_b 14.3794
_cell_length_c 14.1580
_cell_angle_alpha 90.00
_cell_angle_beta 90.00
_cell_angle_gamma 90.00
loop_
_atom_site_label
_atom_site_fract_x
_atom_site_fract_y
_atom_site_fract_z
_atom_site_occupancy
Cs1 0.0000 0.1025 0.2500 1
Lu1 0.0000 0.3670 0.0681 1
Cu1 0.0000 0.1628 0.7500 1
Se1 0.0000 0.0000 0.0000 1
Se2 0.0000 0.2586 0.6049 1
S1 0.0000 0.4173 0.2500 1
```


5.
Computed powder X-ray diffraction pattern of CsLu2Cu3Se5 for Cu Kα, from DFT lattice parameters and positions (GGA-PBE).
Lines closer than 0.1° are merged.

Principal peaks in the range 2θ = 10–90°, by intensity:
d/Å, two_theta, I (rel.)
3.085, 28.94, 100
2.850, 31.39, 93
2.944, 30.36, 77
1.927, 47.16, 75
3.136, 28.46, 69
2.043, 44.34, 68
2.529, 35.50, 67
2.384, 37.73, 65

```
data_CsLu2Cu3Se5
_chemical_formula_sum 'Cs4 Lu8 Cu12 Se20'
_symmetry_space_group_name_H-M 'C m c m'
_symmetry_Int_Tables_number 63
_symmetry_space_group_name_Hall '-C 2c 2'
_cell_length_a 4.0862
_cell_length_b 14.6787
_cell_length_c 17.0982
_cell_angle_alpha 90.00
_cell_angle_beta 90.00
_cell_angle_gamma 90.00
loop_
_atom_site_label
_atom_site_fract_x
_atom_site_fract_y
_atom_site_fract_z
_atom_site_occupancy
Cs1 0.0000 0.0610 0.2500 1
Lu1 0.0000 0.1926 0.5920 1
Cu1 0.0000 0.3455 0.2500 1
Cu2 0.0000 0.4180 0.5348 1
Se1 0.0000 0.1711 0.0696 1
Se2 0.0000 0.2392 0.7500 1
Se3 0.0000 0.4361 0.1125 1
```


6.
Computed powder X-ray diffraction pattern of CsLu2Cu3Te4Se for Cu Kα, from DFT lattice parameters and positions (GGA-PBE).
Lines closer than 0.1° are merged.

Principal peaks in the range 2θ = 10–90°, by intensity:
d/Å, two_theta, I (rel.)
3.247, 27.47, 100
3.302, 27.01, 60
2.143, 42.17, 46
2.655, 33.76, 45
2.019, 44.89, 43
3.097, 28.83, 40
2.977, 30.02, 40
2.423, 37.11, 39

```
data_CsLu2Cu3Te4Se
_chemical_formula_sum 'Cs4 Lu8 Cu12 Te16 Se4'
_symmetry_space_group_name_H-M 'C m c m'
_symmetry_Int_Tables_number 63
_symmetry_space_group_name_Hall '-C 2c 2'
_cell_length_a 4.2852
_cell_length_b 15.5379
_cell_length_c 17.8623
_cell_angle_alpha 90.00
_cell_angle_beta 90.00
_cell_angle_gamma 90.00
loop_
_atom_site_label
_atom_site_fract_x
_atom_site_fract_y
_atom_site_fract_z
_atom_site_occupancy
Cs1 0.0000 0.0683 0.2500 1
Lu1 0.0000 0.1940 0.5985 1
Cu1 0.0000 0.3390 0.2500 1
Cu2 0.0000 0.4186 0.5262 1
Te1 0.0000 0.1679 0.0691 1
Te2 0.0000 0.4406 0.1196 1
Se1 0.0000 0.2384 0.7500 1
```


7.
Computed powder X-ray diffraction pattern of CsLu2Cu3TeSe4 for Cu Kα, from DFT lattice parameters and positions (GGA-PBE).
Lines closer than 0.1° are merged.

Principal peaks in the range 2θ = 10–90°, by intensity:
d/Å, two_theta, I (rel.)
2.919, 30.62, 100
3.108, 28.72, 99
2.971, 30.08, 84
1.961, 46.29, 67
2.071, 43.71, 65
3.158, 28.25, 64
2.392, 37.61, 63
2.562, 35.03, 56

```
data_CsLu2Cu3TeSe4
_chemical_formula_sum 'Cs4 Lu8 Cu12 Te4 Se16'
_symmetry_space_group_name_H-M 'C m c m'
_symmetry_Int_Tables_number 63
_symmetry_space_group_name_Hall '-C 2c 2'
_cell_length_a 4.1416
_cell_length_b 14.6466
_cell_length_c 17.5159
_cell_angle_alpha 90.00
_cell_angle_beta 90.00
_cell_angle_gamma 90.00
loop_
_atom_site_label
_atom_site_fract_x
_atom_site_fract_y
_atom_site_fract_z
_atom_site_occupancy
Cs1 0.0000 0.0522 0.2500 1
Lu1 0.0000 0.1894 0.5855 1
Cu1 0.0000 0.3528 0.2500 1
Cu2 0.0000 0.4162 0.5331 1
Te1 0.0000 0.2433 0.7500 1
Se1 0.0000 0.1710 0.0708 1
Se2 0.0000 0.4372 0.1093 1
```


8.
Computed powder X-ray diffraction pattern of Cs2NaCu3P2 for Cu Kα, from DFT lattice parameters and positions (GGA-PBE).
Lines closer than 0.1° are merged.

Principal peaks in the range 2θ = 10–90°, by intensity:
d/Å, two_theta, I (rel.)
3.191, 27.96, 100
2.657, 33.73, 66
2.261, 39.88, 60
3.096, 28.84, 50
1.805, 50.56, 37
6.617, 13.38, 31
5.177, 17.13, 30
2.589, 34.65, 30

```
data_Cs2NaCu3P2
_chemical_formula_sum 'Cs6 Na3 Cu9 P6'
_symmetry_space_group_name_H-M 'R -3 m'
_symmetry_Int_Tables_number 166
_symmetry_space_group_name_Hall '-R 3 2"'
_cell_length_a 6.1924
_cell_length_b 6.1924
_cell_length_c 19.8520
_cell_angle_alpha 90.00
_cell_angle_beta 90.00
_cell_angle_gamma 120.00
loop_
_atom_site_label
_atom_site_fract_x
_atom_site_fract_y
_atom_site_fract_z
_atom_site_occupancy
Cs1 0.0000 0.0000 0.0933 1
Na1 0.0000 0.0000 0.5000 1
Cu1 0.0000 0.5000 0.0000 1
P1 0.0000 0.0000 0.2657 1
```